# AsWAu2
Simulated powder diffractogram, copper Kα. Input: a structure optimized by DFT (PBE).
Lines closer than 0.1° are merged.

Largest 10 diffraction maxima, by intensity, 10 to 90 degrees two-theta:
2θ 37.56, rel. 100
2θ 45.16, rel. 60
2θ 36.24, rel. 53
2θ 40.09, rel. 42
2θ 41.69, rel. 35
2θ 76.66, rel. 24
2θ 60.44, rel. 22
2θ 65.78, rel. 19
2θ 79.11, rel. 12
2θ 73.38, rel. 12

Structural model:
```
4
Lattice="4.5511 -1.4365 0.0000 4.5511 1.4365 0.0000 -0.8280 0.0000 5.3745" Properties=species:S:1:pos:R:3 pbc="T T T"
As 0.0000 0.0000 0.0000
W 6.5955 0.0000 0.9286
Au 1.5569 0.0000 3.6871
Au 4.0051 0.0000 2.4048
```